1.
Starting from a PBE-relaxed structure, the powder diffraction line list of La2Pr3Tl was computed for Cu Kα (λ = 1.5418 Å).
Lines closer than 0.1° are merged.

Crystal structure
```
data_La2Pr3Tl
_chemical_formula_sum 'La4 Pr6 Tl2'
_cell_length_a 9.576
_cell_length_b 9.576
_cell_length_c 6.714
_cell_angle_alpha 99.80
_cell_angle_beta 99.80
_cell_angle_gamma 43.26
_symmetry_space_group_name_H-M 'P 1'
_symmetry_Int_Tables_number 1
loop_
_symmetry_equiv_pos_as_xyz
'x,y,z'
loop_
_atom_site_label
_atom_site_type_symbol
_atom_site_fract_x
_atom_site_fract_y
_atom_site_fract_z
_atom_site_occupancy
La1 La 0.063 0.256 0.067 1
La2 La 0.256 0.063 0.567 1
La3 La 0.744 0.937 0.433 1
La4 La 0.937 0.744 0.933 1
Pr1 Pr 0.220 0.450 0.463 1
Pr2 Pr 0.282 0.718 0.250 1
Pr3 Pr 0.450 0.220 0.963 1
Pr4 Pr 0.550 0.780 0.037 1
Pr5 Pr 0.718 0.282 0.750 1
Pr6 Pr 0.780 0.550 0.537 1
Tl1 Tl 0.213 0.787 0.750 1
Tl2 Tl 0.787 0.213 0.250 1
```

The 12 most intense peaks (2θ = 15–90°), low angle first:
| two_theta | I (rel.) |
| --- | --- |
| 27.2 | 24 |
| 28.7 | 16 |
| 29.6 | 21 |
| 30.7 | 100 |
| 30.8 | 49 |
| 31.3 | 35 |
| 32.6 | 17 |
| 33.9 | 21 |
| 37.3 | 13 |
| 48.2 | 14 |
| 54.4 | 16 |
| 54.7 | 16 |

2.
Starting from a PBE-relaxed structure, the powder diffraction line list of La10Pr3Tl3 was computed for Cu Kα (λ = 1.5418 Å).
Lines closer than 0.1° are merged.

Crystal structure
```
data_La10Pr3Tl3
_chemical_formula_sum 'La10 Pr3 Tl3'
_cell_length_a 9.901
_cell_length_b 9.901
_cell_length_c 6.586
_cell_angle_alpha 90.00
_cell_angle_beta 90.00
_cell_angle_gamma 120.00
_symmetry_space_group_name_H-M 'P 1'
_symmetry_Int_Tables_number 1
loop_
_symmetry_equiv_pos_as_xyz
'x,y,z'
loop_
_atom_site_label
_atom_site_type_symbol
_atom_site_fract_x
_atom_site_fract_y
_atom_site_fract_z
_atom_site_occupancy
La1 La 0.000 0.235 0.000 1
La2 La 0.000 0.772 0.500 1
La3 La 0.228 0.228 0.500 1
La4 La 0.235 0.000 0.000 1
La5 La 0.333 0.667 0.230 1
La6 La 0.333 0.667 0.770 1
La7 La 0.667 0.333 0.230 1
La8 La 0.667 0.333 0.770 1
La9 La 0.765 0.765 0.000 1
La10 La 0.772 0.000 0.500 1
Pr1 Pr 0.000 0.411 0.500 1
Pr2 Pr 0.411 0.000 0.500 1
Pr3 Pr 0.589 0.589 0.500 1
Tl1 Tl 0.000 0.598 0.000 1
Tl2 Tl 0.402 0.402 0.000 1
Tl3 Tl 0.598 0.000 0.000 1
```

The 12 most intense peaks (2θ = 15–90°), low angle first:
| two_theta | I (rel.) |
| --- | --- |
| 27.1 | 18 |
| 27.5 | 29 |
| 30.7 | 100 |
| 31.3 | 27 |
| 32.7 | 53 |
| 34.3 | 12 |
| 38.9 | 10 |
| 40.3 | 17 |
| 45.9 | 10 |
| 50.2 | 26 |
| 57.6 | 12 |
| 60.9 | 22 |